No. 1
For SiH8, a cell relaxed with PBE gives the computed PXRD pattern in this record (λ = 1.5418 Å (Cu Kα)).
Lines closer than 0.1° are merged.

Structure:
Cell: 4.963 4.953 6.816 Å, 90.00 90.00 90.00°
Fractional coordinates of all 18 atoms:
Si1 0.000 0.248 0.000
Si2 0.500 0.752 0.500
H1 0.000 0.001 0.126
H2 0.000 0.223 0.548
H3 0.000 0.290 0.449
H4 0.000 0.492 0.126
H5 0.000 0.706 0.698
H6 0.000 0.763 0.800
H7 0.245 0.246 0.874
H8 0.255 0.754 0.374
H9 0.500 0.237 0.300
H10 0.500 0.294 0.198
H11 0.500 0.508 0.626
H12 0.500 0.710 0.949
H13 0.500 0.777 0.048
H14 0.500 0.999 0.626
H15 0.745 0.754 0.374
H16 0.755 0.246 0.874

Main lines, by angle (10 to 80 degrees two-theta):
Position (°2θ), d [Å], Rel. int.
22.2, 4.009, 100
25.4, 3.506, 37
26.1, 3.408, 17
36.2, 2.479, 19
36.8, 2.444, 34
42.9, 2.108, 25
43.8, 2.065, 12
45.2, 2.005, 14
58.1, 1.587, 13
59.3, 1.559, 6
65.5, 1.424, 10
69.8, 1.348, 6

=====

No. 2
For SiSnH, a cell relaxed with PBE gives the computed PXRD pattern in this record (λ = 1.5418 Å (Cu Kα)).
Lines closer than 0.1° are merged.

Structure:
Cell: 8.104 8.104 10.559 Å, 126.47 126.47 40.31°
Fractional coordinates of all 18 atoms:
Si1 0.006 0.994 0.500
Si2 0.246 0.323 0.085
Si3 0.323 0.246 0.585
Si4 0.599 0.614 0.838
Si5 0.614 0.599 0.338
Si6 0.994 0.006 0.000
Sn1 0.067 0.075 0.818
Sn2 0.075 0.067 0.318
Sn3 0.530 0.542 0.026
Sn4 0.542 0.530 0.526
Sn5 0.703 0.870 0.739
Sn6 0.870 0.703 0.239
H1 0.124 0.518 0.682
H2 0.298 0.431 0.047
H3 0.431 0.298 0.547
H4 0.518 0.124 0.182
H5 0.733 0.742 0.960
H6 0.742 0.733 0.460

Main lines, by angle (10 to 80 degrees two-theta):
Position (°2θ), d [Å], Rel. int.
15.0, 5.889, 41
16.8, 5.264, 22
23.5, 3.780, 24
24.0, 3.706, 100
24.9, 3.583, 55
30.4, 2.944, 59
32.1, 2.792, 54
33.6, 2.664, 60
34.1, 2.632, 43
44.0, 2.060, 27
44.7, 2.026, 29
47.5, 1.915, 27

=====

No. 3
For SrSiH5, a cell relaxed with PBE gives the computed PXRD pattern in this record (λ = 1.5418 Å (Cu Kα)).
Lines closer than 0.1° are merged.

Structure:
Cell: 4.310 4.310 11.824 Å, 90.00 90.00 132.48°
Fractional coordinates of all 14 atoms:
Sr1 0.197 0.803 0.750
Sr2 0.803 0.197 0.250
Si1 0.500 0.500 0.000
Si2 0.500 0.500 0.500
H1 0.106 0.894 0.250
H2 0.326 0.674 0.555
H3 0.326 0.674 0.945
H4 0.410 0.590 0.121
H5 0.410 0.590 0.379
H6 0.590 0.410 0.621
H7 0.590 0.410 0.879
H8 0.674 0.326 0.055
H9 0.674 0.326 0.445
H10 0.894 0.106 0.750

Main lines, by angle (10 to 80 degrees two-theta):
Position (°2θ), d [Å], Rel. int.
15.0, 5.912, 56
23.8, 3.742, 35
27.2, 3.281, 83
29.1, 3.070, 100
30.2, 2.956, 45
32.0, 2.800, 41
36.3, 2.474, 54
43.1, 2.097, 25
47.9, 1.897, 27
51.9, 1.763, 25
53.6, 1.710, 27
67.0, 1.396, 18

=====

No. 4
For SrSi3H12, a cell relaxed with PBE gives the computed PXRD pattern in this record (λ = 1.5418 Å (Cu Kα)).
Lines closer than 0.1° are merged.

Structure:
Cell: 10.448 10.448 10.448 Å, 37.77 37.77 37.77°
Fractional coordinates of all 32 atoms:
Sr1 0.000 0.000 0.000
Sr2 0.500 0.500 0.500
Si1 0.164 0.388 0.671
Si2 0.171 0.888 0.664
Si3 0.388 0.671 0.164
Si4 0.664 0.171 0.888
Si5 0.671 0.164 0.388
Si6 0.888 0.664 0.171
H1 0.002 0.643 0.593
H2 0.085 0.770 0.723
H3 0.093 0.143 0.502
H4 0.143 0.502 0.093
H5 0.223 0.270 0.585
H6 0.246 0.327 0.795
H7 0.270 0.585 0.223
H8 0.295 0.827 0.746
H9 0.306 0.915 0.972
H10 0.327 0.795 0.246
H11 0.415 0.806 0.472
H12 0.472 0.415 0.806
H13 0.502 0.093 0.143
H14 0.585 0.223 0.270
H15 0.593 0.002 0.643
H16 0.643 0.593 0.002
H17 0.723 0.085 0.770
H18 0.746 0.295 0.827
H19 0.770 0.723 0.085
H20 0.795 0.246 0.327
H21 0.806 0.472 0.415
H22 0.827 0.746 0.295
H23 0.915 0.972 0.306
H24 0.972 0.306 0.915

Main lines, by angle (10 to 80 degrees two-theta):
Position (°2θ), d [Å], Rel. int.
16.3, 5.432, 100
19.5, 4.560, 26
27.9, 3.192, 17
28.9, 3.088, 17
32.3, 2.773, 46
33.0, 2.716, 21
34.4, 2.604, 16
37.1, 2.423, 10
39.5, 2.280, 10
41.3, 2.188, 13
42.7, 2.117, 16
63.9, 1.457, 9

=====

No. 5
For Tb6Si3H, a cell relaxed with PBE gives the computed PXRD pattern in this record (λ = 1.5418 Å (Cu Kα)).
Lines closer than 0.1° are merged.

Structure:
Cell: 8.865 8.865 6.717 Å, 90.00 90.00 102.30°
Fractional coordinates of all 20 atoms:
Tb1 0.044 0.956 0.500
Tb2 0.104 0.569 0.482
Tb3 0.225 0.775 0.979
Tb4 0.308 0.365 0.968
Tb5 0.365 0.308 0.468
Tb6 0.431 0.896 0.482
Tb7 0.569 0.104 0.982
Tb8 0.635 0.692 0.968
Tb9 0.692 0.635 0.468
Tb10 0.775 0.225 0.479
Tb11 0.896 0.431 0.982
Tb12 0.956 0.044 0.000
Si1 0.061 0.279 0.693
Si2 0.279 0.061 0.193
Si3 0.387 0.613 0.257
Si4 0.613 0.387 0.757
Si5 0.721 0.939 0.693
Si6 0.939 0.721 0.193
H1 0.198 0.802 0.629
H2 0.802 0.198 0.129

Main lines, by angle (10 to 80 degrees two-theta):
Position (°2θ), d [Å], Rel. int.
24.9, 3.580, 43
25.8, 3.452, 38
26.5, 3.358, 64
28.2, 3.159, 38
29.1, 3.070, 44
33.8, 2.652, 100
36.7, 2.449, 49
37.4, 2.407, 45
40.7, 2.215, 19
51.7, 1.769, 25
54.4, 1.686, 25
63.3, 1.469, 19

=====

No. 6
For ThSiTc2H, a cell relaxed with PBE gives the computed PXRD pattern in this record (λ = 1.5418 Å (Cu Kα)).
Lines closer than 0.1° are merged.

Structure:
Cell: 5.897 5.897 7.896 Å, 90.00 90.00 146.50°
Fractional coordinates of all 10 atoms:
Th1 0.051 0.949 0.750
Th2 0.949 0.051 0.250
Si1 0.229 0.771 0.250
Si2 0.771 0.229 0.750
Tc1 0.342 0.658 0.548
Tc2 0.342 0.658 0.952
Tc3 0.658 0.342 0.048
Tc4 0.658 0.342 0.452
H1 0.500 0.500 0.000
H2 0.500 0.500 0.500

Main lines, by angle (10 to 80 degrees two-theta):
Position (°2θ), d [Å], Rel. int.
27.6, 3.236, 48
29.7, 3.009, 14
33.7, 2.659, 46
35.6, 2.523, 52
35.8, 2.511, 100
37.4, 2.403, 45
37.7, 2.386, 34
39.2, 2.297, 16
49.8, 1.831, 18
54.0, 1.699, 28
60.5, 1.531, 31
65.1, 1.433, 24

=====

No. 7
For SiTeH2, a cell relaxed with PBE gives the computed PXRD pattern in this record (λ = 1.5418 Å (Cu Kα)).
Lines closer than 0.1° are merged.

Structure:
Cell: 5.432 5.432 5.432 Å, 119.91 119.91 90.16°
Fractional coordinates of all 8 atoms:
Si1 0.375 0.625 0.750
Si2 0.625 0.375 0.250
Te1 0.125 0.875 0.250
Te2 0.875 0.125 0.750
H1 0.000 0.500 0.500
H2 0.500 0.000 0.000
H3 0.500 0.500 0.000
H4 0.500 0.500 0.500

Main lines, by angle (10 to 80 degrees two-theta):
Position (°2θ), d [Å], Rel. int.
20.0, 4.438, 41
33.0, 2.717, 100
38.9, 2.317, 26
47.3, 1.923, 12
47.4, 1.918, 6
51.9, 1.763, 11
58.9, 1.569, 37
62.8, 1.480, 6
69.2, 1.358, 8
72.8, 1.300, 5
78.7, 1.216, 11
78.9, 1.213, 5

=====

No. 8
For Th2SiH2, a cell relaxed with PBE gives the computed PXRD pattern in this record (λ = 1.5418 Å (Cu Kα)).
Lines closer than 0.1° are merged.

Structure:
Cell: 7.045 6.383 6.103 Å, 68.65 57.55 53.79°
Fractional coordinates of all 10 atoms:
Th1 0.096 0.096 0.654
Th2 0.346 0.346 0.904
Th3 0.654 0.654 0.096
Th4 0.904 0.904 0.346
Si1 0.375 0.375 0.375
Si2 0.625 0.625 0.625
H1 0.012 0.238 0.012
H2 0.238 0.012 0.238
H3 0.762 0.988 0.762
H4 0.988 0.762 0.988

Main lines, by angle (10 to 80 degrees two-theta):
Position (°2θ), d [Å], Rel. int.
25.3, 3.514, 77
29.4, 3.041, 53
30.1, 2.966, 100
34.8, 2.577, 15
37.4, 2.402, 21
40.3, 2.237, 11
46.7, 1.945, 38
48.3, 1.884, 40
52.1, 1.757, 10
55.4, 1.660, 19
62.7, 1.482, 10
63.1, 1.473, 10